Hf10Al3Si3: simulated powder diffraction line list (Cu Kα, 1.54184 Å), based on a structure optimized by DFT (GGA-PBE).
No peak broadening, texture or thermal motion is included.

Cell and atoms:
```
16
Lattice="7.994 0.000 0.000 -3.997 6.923 0.000 0.000 0.000 5.600" Properties=species:S:1:pos:R:3 pbc="T T T"
Hf -0.982 1.700 0.000
Hf -3.014 5.221 2.800
Hf 1.964 0.000 0.000
Hf 0.983 1.702 2.800
Hf 0.000 4.615 1.389
Hf 0.000 4.615 4.211
Hf 3.997 2.308 1.389
Hf 3.997 2.308 4.211
Hf 6.028 0.000 2.800
Hf 3.015 5.222 0.000
Al -1.568 2.716 2.800
Al 3.136 0.000 2.800
Al 2.429 4.207 2.800
Si -2.437 4.221 0.000
Si 1.560 2.702 0.000
Si 4.874 0.000 0.000
```

Largest 8 diffraction maxima, sorted by position, 10 to 80 degrees two-theta:
2θ (°), I_rel, (hkl)
25.7, 43, 2 0 0
27.4, 58, 1 1 1
34.3, 56, 2 1 0
34.6, 49, 1 0 2
38.0, 100, 2 1 1
39.0, 45, 3 0 0
39.3, 90, 1 1 2
63.2, 34, 4 0 2